Diffraction record for CsMnGa2P3H4O14. The PXRD pattern is simulated, not measured: it uses DFT lattice parameters and positions (GGA+U) and a wavelength of 1.5418 Å.
Intensities are scaled so that the largest is 100.

Structure:
```
data_CsMnGa2P3H4O14
_chemical_formula_sum 'Cs4 Mn4 Ga8 P12 H16 O56'
_symmetry_space_group_name_H-M 'C 1 2/c 1'
_symmetry_Int_Tables_number 15
_cell_length_a 13.736
_cell_length_b 10.454
_cell_length_c 9.014
_cell_angle_alpha 90.00
_cell_angle_beta 108.83
_cell_angle_gamma 90.00
loop_
_symmetry_equiv_pos_as_xyz
'x,y,z'
'-x,-y,-z'
'-x,y,-z+1/2'
'x,-y,z+1/2'
'x+1/2,y+1/2,z'
'-x+1/2,-y+1/2,-z'
'-x+1/2,y+1/2,-z+1/2'
'x+1/2,-y+1/2,z+1/2'
loop_
_atom_site_label
_atom_site_fract_x
_atom_site_fract_y
_atom_site_fract_z
Cs1 0.000 0.139 0.250
Mn1 0.000 0.219 0.750
Ga1 0.171 0.426 0.574
P1 0.000 0.497 0.750
P2 0.210 0.129 0.672
H1 0.156 0.269 0.053
H2 0.163 0.122 0.008
O1 0.058 0.413 0.386
O2 0.072 0.403 0.700
O3 0.100 0.106 0.669
O4 0.117 0.197 0.991
O5 0.209 0.411 0.166
O6 0.228 0.048 0.539
O7 0.236 0.272 0.659
```

Main lines, low angle first (2θ = 5–70°):
26.08°, rel. 62, (2 2 1)
26.48°, rel. 51, (1 3 0)
27.67°, rel. 42, (1 3 -1)
28.49°, rel. 78, (2 0 2)
28.66°, rel. 100, (4 0 -2)
32.50°, rel. 44, (3 3 -1)